Structure and calculated powder X-ray diffraction pattern of NaGaP2O7 (a crystal structure in the Materials Project, relaxed with GGA-PBE; Cu Kα (λ = 1.5418 Å)).
Intensities are scaled so that the largest is 1000.

Structural model:
abc: 7.3741 7.9231 9.5743
angles: 90.00 112.16 90.00
Atoms (fractional coordinates):
Na 0.2104 0.0250 0.2029
Na 0.2104 0.4750 0.7029
Na 0.7896 0.5250 0.2971
Na 0.7896 0.9750 0.7971
Ga 0.2419 0.0068 0.7509
Ga 0.2419 0.4932 0.2509
Ga 0.7581 0.5068 0.7491
Ga 0.7581 0.9932 0.2491
P 0.1720 0.7105 0.9537
P 0.1720 0.7895 0.4537
P 0.4259 0.2457 0.0445
P 0.4259 0.2543 0.5445
P 0.5741 0.7457 0.4555
P 0.5741 0.7543 0.9555
P 0.8280 0.2105 0.5463
P 0.8280 0.2895 0.0463
O 0.0302 0.5842 0.8487
O 0.0302 0.9158 0.3487
O 0.1358 0.6056 0.3969
O 0.1358 0.8944 0.8969
O 0.1931 0.7027 0.1187
O 0.1931 0.7973 0.6187
O 0.3089 0.2131 0.8773
O 0.3089 0.2869 0.3773
O 0.3154 0.1335 0.6058
O 0.3154 0.3665 0.1058
O 0.3766 0.6522 0.9401
O 0.3766 0.8478 0.4401
O 0.4891 0.0836 0.1390
O 0.4891 0.4164 0.6390
O 0.5109 0.5836 0.3610
O 0.5109 0.9164 0.8610
O 0.6234 0.1522 0.5599
O 0.6234 0.3478 0.0599
O 0.6846 0.6335 0.8942
O 0.6846 0.8665 0.3942
O 0.6911 0.7131 0.6227
O 0.6911 0.7869 0.1227
O 0.8068 0.2027 0.3813
O 0.8068 0.2973 0.8813
O 0.8642 0.1056 0.1031
O 0.8642 0.3944 0.6031
O 0.9698 0.0842 0.6513
O 0.9698 0.4158 0.1513

Main lines, by angle (10° ≤ 2θ ≤ 80°):
- 17.2°, I = 705
- 22.2°, I = 251
- 23.0°, I = 210
- 26.1°, I = 358
- 28.5°, I = 286
- 28.6°, I = 206
- 30.3°, I = 1000
- 34.8°, I = 187
- 39.2°, I = 174
- 46.2°, I = 125
- 49.5°, I = 129
- 62.9°, I = 167